(1)
Simulated PXRD pattern
Compound: KOs2O6
Radiation: Cu Kα (weighted mean of Kα1 and Kα2)
Structure: DFT lattice parameters and positions (PBE)

Cell and atoms:
Lattice parameters (Å, degrees): 10.2215 10.2215 10.2215 90.00 90.00 90.00
Space group Fd-3m (No. 227, origin choice 2)
Asymmetric unit:
K1 0.1250 0.1250 0.1250
Os1 0.0000 0.0000 0.5000
O1 0.0657 0.3750 0.8750

The 12 most intense peaks (2θ = 10–80°), sorted by position:
(hkl), Position (°2θ), d_spacing, I_rel
1 1 1, 15.0, 5.901, 1000
3 1 1, 29.0, 3.082, 905
2 2 2, 30.3, 2.951, 771
4 0 0, 35.1, 2.555, 195
3 3 1, 38.4, 2.345, 139
3 3 3, 46.1, 1.967, 298
4 4 0, 50.5, 1.807, 403
5 3 1, 53.0, 1.728, 202
5 3 3, 59.3, 1.559, 132
6 2 2, 60.0, 1.541, 341
5 5 1, 65.2, 1.431, 130
7 3 1, 70.8, 1.331, 215


(2)
Simulated PXRD pattern
Compound: HfBe2Bi
Radiation: Cu Kα (weighted mean of Kα1 and Kα2)
Structure: DFT lattice parameters and positions (PBE)

Cell and atoms:
```
data_HfBe2Bi
_cell_length_a 6.6951
_cell_length_b 6.6951
_cell_length_c 6.6951
_cell_angle_alpha 90.00
_cell_angle_beta 90.00
_cell_angle_gamma 90.00
_space_group_name_H-M_alt 'F -4 3 m'
_space_group_IT_number 216
_space_group_name_Hall 'F -4 2 3'
loop_
_atom_site_label
_atom_site_type_symbol
_atom_site_fract_x
_atom_site_fract_y
_atom_site_fract_z
_atom_site_occupancy
Hf1 Hf 0.0000 0.0000 0.0000 1
Be1 Be 0.0000 0.0000 0.5000 1
Be2 Be 0.2500 0.2500 0.2500 1
Bi1 Bi 0.2500 0.2500 0.7500 1
```

The 8 most intense peaks (2θ = 10–80°), sorted by position:
(hkl), Position (°2θ), d_spacing, I_rel
1 1 1, 23.0, 3.865, 1000
2 0 0, 26.6, 3.348, 7
2 2 0, 38.0, 2.367, 958
3 1 1, 44.9, 2.019, 539
4 0 0, 54.9, 1.674, 168
3 3 1, 60.3, 1.536, 229
4 2 2, 68.7, 1.367, 348
5 1 1, 73.5, 1.288, 172


(3)
Simulated PXRD pattern
Compound: Mg6CuBiO8
Radiation: Cu Kα (weighted mean of Kα1 and Kα2)
Structure: DFT lattice parameters and positions (PBE)

Cell and atoms:
```
data_Mg6CuBiO8
_cell_length_a 4.4716
_cell_length_b 4.4716
_cell_length_c 8.9827
_cell_angle_alpha 90.00
_cell_angle_beta 90.00
_cell_angle_gamma 90.00
_space_group_name_H-M_alt 'P 4/m m m'
_space_group_IT_number 123
_space_group_name_Hall '-P 4 2'
loop_
_atom_site_label
_atom_site_type_symbol
_atom_site_fract_x
_atom_site_fract_y
_atom_site_fract_z
_atom_site_occupancy
Mg1 Mg 0.0000 0.0000 0.0000 1
Mg2 Mg 0.0000 0.0000 0.5000 1
Mg3 Mg 0.0000 0.5000 0.2246 1
Cu1 Cu 0.5000 0.5000 0.0000 1
Bi1 Bi 0.5000 0.5000 0.5000 1
O1 O 0.0000 0.0000 0.2515 1
O2 O 0.0000 0.5000 0.0000 1
O3 O 0.0000 0.5000 0.5000 1
O4 O 0.5000 0.5000 0.2405 1
```

The 12 most intense peaks (2θ = 10–80°), sorted by position:
(hkl), Position (°2θ), d_spacing, I_rel
0 0 2, 19.8, 4.478, 1000
1 0 1, 22.2, 4.003, 358
1 0 2, 28.2, 3.167, 861
1 1 1, 30.0, 2.983, 224
1 1 2, 34.7, 2.585, 571
0 0 4, 40.2, 2.246, 323
2 0 0, 40.3, 2.236, 688
2 0 2, 45.3, 2.001, 333
2 1 2, 49.9, 1.827, 246
2 0 4, 58.2, 1.584, 397
2 2 0, 58.4, 1.581, 213
2 2 4, 73.2, 1.293, 190


(4)
Simulated PXRD pattern
Compound: Gd3Te2NO
Radiation: Cu Kα (weighted mean of Kα1 and Kα2)
Structure: DFT lattice parameters and positions (PBE)

Cell and atoms:
```
data_Gd3Te2NO
_cell_length_a 13.5536
_cell_length_b 4.1167
_cell_length_c 12.2075
_cell_angle_alpha 90.00
_cell_angle_beta 90.00
_cell_angle_gamma 90.00
_space_group_name_H-M_alt 'P n m a'
_space_group_IT_number 62
loop_
_space_group_symop_operation_xyz
'x,y,z'
'-x,-y,-z'
'-x+1/2,-y,z+1/2'
'x+1/2,y,-z+1/2'
'x+1/2,-y+1/2,-z+1/2'
'-x+1/2,y+1/2,z+1/2'
'-x,y+1/2,-z'
'x,-y+1/2,z'
loop_
_atom_site_label
_atom_site_type_symbol
_atom_site_fract_x
_atom_site_fract_y
_atom_site_fract_z
_atom_site_occupancy
Gd1 Gd 0.0216 0.2500 0.1213 1
Gd2 Gd 0.1050 0.7500 0.6138 1
Gd3 Gd 0.1887 0.2500 0.8511 1
Te1 Te 0.0659 0.7500 0.3477 1
Te2 Te 0.2280 0.7500 0.0720 1
N1 N 0.1303 0.7500 0.7889 1
O1 O 0.0405 0.2500 0.9330 1
```

The 12 most intense peaks (2θ = 10–80°), sorted by position:
(hkl), Position (°2θ), d_spacing, I_rel
2 1 1, 26.4, 3.381, 437
0 0 4, 29.3, 3.052, 643
1 0 4, 30.0, 2.977, 277
3 1 1, 30.3, 2.953, 666
1 1 3, 31.6, 2.830, 492
3 1 2, 32.9, 2.723, 1000
2 1 3, 33.7, 2.661, 402
5 0 1, 33.9, 2.646, 452
0 2 0, 44.0, 2.058, 381
4 0 5, 45.8, 1.980, 247
0 2 4, 53.7, 1.706, 236
3 1 6, 54.2, 1.692, 241


(5)
Simulated PXRD pattern
Compound: Rb2P
Radiation: Cu Kα (weighted mean of Kα1 and Kα2)
Structure: DFT lattice parameters and positions (PBE)

Cell and atoms:
```
data_Rb2P
_cell_length_a 8.4203
_cell_length_b 5.4904
_cell_length_c 10.6103
_cell_angle_alpha 90.00
_cell_angle_beta 90.00
_cell_angle_gamma 90.00
_space_group_name_H-M_alt 'P n m a'
_space_group_IT_number 62
loop_
_space_group_symop_operation_xyz
'x,y,z'
'-x,-y,-z'
'-x+1/2,-y,z+1/2'
'x+1/2,y,-z+1/2'
'x+1/2,-y+1/2,-z+1/2'
'-x+1/2,y+1/2,z+1/2'
'-x,y+1/2,-z'
'x,-y+1/2,z'
loop_
_atom_site_label
_atom_site_type_symbol
_atom_site_fract_x
_atom_site_fract_y
_atom_site_fract_z
_atom_site_occupancy
Rb1 Rb 0.0187 0.2500 0.1738 1
Rb2 Rb 0.1604 0.2500 0.5724 1
P1 P 0.2482 0.7500 0.3849 1
```

The 12 most intense peaks (2θ = 10–80°), sorted by position:
(hkl), Position (°2θ), d_spacing, I_rel
1 1 1, 21.1, 4.219, 194
1 1 2, 25.6, 3.475, 1000
2 1 0, 26.7, 3.341, 375
2 0 2, 27.0, 3.298, 215
1 0 3, 27.4, 3.261, 329
2 1 1, 28.0, 3.187, 872
0 1 3, 30.1, 2.973, 431
0 2 0, 32.6, 2.745, 482
3 0 1, 33.0, 2.712, 436
1 2 3, 43.1, 2.100, 187
3 2 1, 47.1, 1.931, 300
3 1 4, 50.2, 1.819, 341


(6)
Simulated PXRD pattern
Compound: BPb2O3F
Radiation: Cu Kα (weighted mean of Kα1 and Kα2)
Structure: DFT lattice parameters and positions (PBE)

Cell and atoms:
```
data_BPb2O3F
_cell_length_a 7.4120
_cell_length_b 7.4120
_cell_length_c 14.8504
_cell_angle_alpha 90.00
_cell_angle_beta 90.00
_cell_angle_gamma 120.00
_space_group_name_H-M_alt 'P 63/m'
_space_group_IT_number 176
_space_group_name_Hall '-P 6c'
loop_
_atom_site_label
_atom_site_type_symbol
_atom_site_fract_x
_atom_site_fract_y
_atom_site_fract_z
_atom_site_occupancy
B1 B 0.0067 0.3657 0.2500 1
Pb1 Pb 0.0108 0.6861 0.1067 1
O1 O 0.9996 0.4505 0.7500 1
O2 O 0.0071 0.2770 0.1676 1
F1 F 0.0000 0.0000 0.0000 1
F2 F 0.3333 0.6667 0.0593 1
```

The 12 most intense peaks (2θ = 10–80°), sorted by position:
(hkl), Position (°2θ), d_spacing, I_rel
0 0 4, 24.0, 3.709, 722
1 1 1, 24.8, 3.596, 598
1 1 3, 30.1, 2.967, 1000
1 1 4, 34.2, 2.623, 247
3 0 0, 42.2, 2.140, 391
3 0 4, 49.1, 1.854, 396
1 1 7, 49.5, 1.841, 453
2 2 3, 52.7, 1.735, 210
2 2 4, 55.4, 1.659, 100
2 2 7, 67.1, 1.395, 199
4 1 3, 69.8, 1.348, 181
3 0 10, 78.4, 1.220, 106


(7)
Simulated PXRD pattern
Compound: EuIn4Pd
Radiation: Cu Kα (weighted mean of Kα1 and Kα2)
Structure: DFT lattice parameters and positions (PBE)

Cell and atoms:
```
data_EuIn4Pd
_cell_length_a 4.5982
_cell_length_b 17.2654
_cell_length_c 7.4911
_cell_angle_alpha 90.00
_cell_angle_beta 90.00
_cell_angle_gamma 90.00
_space_group_name_H-M_alt 'C m c m'
_space_group_IT_number 63
_space_group_name_Hall '-C 2c 2'
loop_
_atom_site_label
_atom_site_type_symbol
_atom_site_fract_x
_atom_site_fract_y
_atom_site_fract_z
_atom_site_occupancy
Eu1 Eu 0.0000 0.1229 0.2500 1
In1 In 0.0000 0.0678 0.7500 1
In2 In 0.0000 0.3160 0.0480 1
In3 In 0.0000 0.5000 0.0000 1
Pd1 Pd 0.0000 0.2243 0.7500 1
```

The 12 most intense peaks (2θ = 10–80°), sorted by position:
(hkl), Position (°2θ), d_spacing, I_rel
1 1 2, 31.2, 2.864, 1000
1 5 0, 32.4, 2.761, 437
0 6 1, 33.4, 2.686, 279
1 5 1, 34.6, 2.591, 537
2 0 0, 39.2, 2.299, 390
0 6 2, 39.5, 2.282, 278
1 1 3, 41.5, 2.176, 156
0 0 4, 48.6, 1.872, 146
2 6 1, 52.4, 1.747, 152
2 6 2, 56.8, 1.620, 186
2 0 4, 64.1, 1.452, 115
3 1 2, 66.1, 1.414, 126


(8)
Simulated PXRD pattern
Compound: SrAu
Radiation: Cu Kα (weighted mean of Kα1 and Kα2)
Structure: DFT lattice parameters and positions (PBE)

Cell and atoms:
```
data_SrAu
_cell_length_a 6.2332
_cell_length_b 4.8194
_cell_length_c 40.4267
_cell_angle_alpha 90.00
_cell_angle_beta 94.21
_cell_angle_gamma 90.00
_space_group_name_H-M_alt 'P 1 21/m 1'
_space_group_IT_number 11
loop_
_space_group_symop_operation_xyz
'x,y,z'
'-x,-y,-z'
'-x,y+1/2,-z'
'x,-y+1/2,z'
loop_
_atom_site_label
_atom_site_type_symbol
_atom_site_fract_x
_atom_site_fract_y
_atom_site_fract_z
_atom_site_occupancy
Sr1 Sr 0.0219 0.2500 0.0861 1
Sr2 Sr 0.0737 0.7500 0.6139 1
Sr3 Sr 0.1550 0.7500 0.8140 1
Sr4 Sr 0.1595 0.7500 0.3137 1
Sr5 Sr 0.2492 0.7500 0.5137 1
Sr6 Sr 0.2628 0.7500 0.0136 1
Sr7 Sr 0.3428 0.7500 0.2134 1
Sr8 Sr 0.3532 0.7500 0.7139 1
Sr9 Sr 0.4418 0.7500 0.4136 1
Sr10 Sr 0.4643 0.2500 0.8864 1
Au1 Au 0.0441 0.2500 0.5580 1
Au2 Au 0.0493 0.7500 0.1418 1
Au3 Au 0.1354 0.2500 0.2576 1
Au4 Au 0.1445 0.2500 0.7582 1
Au5 Au 0.2253 0.2500 0.9579 1
Au6 Au 0.2376 0.2500 0.4579 1
Au7 Au 0.3264 0.2500 0.6582 1
Au8 Au 0.3312 0.2500 0.1576 1
Au9 Au 0.4105 0.2500 0.3576 1
Au10 Au 0.4925 0.7500 0.9422 1
```

The 12 most intense peaks (2θ = 10–80°), sorted by position:
(hkl), Position (°2θ), d_spacing, I_rel
1 0 4, 17.3, 5.124, 150
1 0 -6, 18.7, 4.741, 137
0 0 10, 22.0, 4.032, 224
1 1 0, 23.4, 3.809, 118
0 1 10, 28.9, 3.092, 459
2 0 4, 30.7, 2.911, 134
1 1 -10, 31.6, 2.833, 236
1 1 10, 33.1, 2.708, 251
2 1 -6, 36.1, 2.489, 1000
0 2 0, 37.3, 2.410, 371
2 2 4, 49.1, 1.855, 131
2 3 -6, 66.5, 1.406, 172


What did the second record say?
Simulated PXRD pattern
Compound: HfBe2Bi
Radiation: Cu Kα (weighted mean of Kα1 and Kα2)
Structure: DFT lattice parameters and positions (PBE)

Cell and atoms:
```
data_HfBe2Bi
_cell_length_a 6.6951
_cell_length_b 6.6951
_cell_length_c 6.6951
_cell_angle_alpha 90.00
_cell_angle_beta 90.00
_cell_angle_gamma 90.00
_space_group_name_H-M_alt 'F -4 3 m'
_space_group_IT_number 216
_space_group_name_Hall 'F -4 2 3'
loop_
_atom_site_label
_atom_site_type_symbol
_atom_site_fract_x
_atom_site_fract_y
_atom_site_fract_z
_atom_site_occupancy
Hf1 Hf 0.0000 0.0000 0.0000 1
Be1 Be 0.0000 0.0000 0.5000 1
Be2 Be 0.2500 0.2500 0.2500 1
Bi1 Bi 0.2500 0.2500 0.7500 1
```

The 8 most intense peaks (2θ = 10–80°), sorted by position:
(hkl), Position (°2θ), d_spacing, I_rel
1 1 1, 23.0, 3.865, 1000
2 0 0, 26.6, 3.348, 7
2 2 0, 38.0, 2.367, 958
3 1 1, 44.9, 2.019, 539
4 0 0, 54.9, 1.674, 168
3 3 1, 60.3, 1.536, 229
4 2 2, 68.7, 1.367, 348
5 1 1, 73.5, 1.288, 172